# 1
Starting from a cell relaxed with GGA-PBE, the powder X-ray diffraction pattern of Li2AgCl4 was simulated for Cu Kα (weighted mean of Kα1 and Kα2).
Neutral-atom scattering factors, no anomalous dispersion.

Main lines, by angle (2θ from 10° to 90°):
d 5.584, 2θ 15.87, I = 100; d 4.667, 2θ 19.02, I = 49; d 3.796, 2θ 23.44, I = 40; d 3.659, 2θ 24.32, I = 19; d 3.399, 2θ 26.22, I = 32; d 3.132, 2θ 28.50, I = 39; d 3.021, 2θ 29.57, I = 22; d 2.841, 2θ 31.49, I = 18; d 2.792, 2θ 32.05, I = 31; d 2.331, 2θ 38.63, I = 31; d 2.182, 2θ 41.38, I = 62; d 1.998, 2θ 45.40, I = 33

Structure:
abc: 8.1062 6.9887 9.5008
angles: 56.45 45.93 77.62
Sites, in units of the cell vectors:
Li1 0.0025 0.4975 0.0738
Li2 0.1762 0.8238 0.2475
Li3 0.4975 0.0025 0.4262
Li4 0.8238 0.1762 0.7525
Ag1 0.2592 0.2592 0.7408
Ag2 0.5092 0.5092 0.9908
Cl1 0.0696 0.4549 0.3011
Cl2 0.0756 0.9489 0.7951
Cl3 0.4308 0.5679 0.6943
Cl4 0.4549 0.0696 0.1744
Cl5 0.5557 0.9430 0.8192
Cl6 0.5679 0.4308 0.3070
Cl7 0.9430 0.5557 0.6821
Cl8 0.9489 0.0756 0.1804

***

# 2
Starting from a cell relaxed with GGA-PBE, the powder X-ray diffraction pattern of LiAgCl2 was simulated for Cu Kα (weighted mean of Kα1 and Kα2).
Neutral-atom scattering factors, no anomalous dispersion.

Main lines, by angle (2θ from 10° to 90°):
d 4.873, 2θ 18.21, I = 96; d 3.560, 2θ 25.02, I = 73; d 3.505, 2θ 25.41, I = 44; d 2.495, 2θ 36.00, I = 17; d 2.438, 2θ 36.87, I = 100; d 2.324, 2θ 38.74, I = 14; d 2.259, 2θ 39.91, I = 13; d 2.107, 2θ 42.91, I = 10; d 1.869, 2θ 48.73, I = 11; d 1.781, 2θ 51.29, I = 15; d 1.751, 2θ 52.24, I = 34; d 1.608, 2θ 57.29, I = 13

Structure:
abc: 5.1927 5.1927 4.0245
angles: 109.62 109.62 87.94
Sites, in units of the cell vectors:
Li1 0.0000 0.0000 0.0000
Ag1 0.5000 0.5000 0.0000
Cl1 0.0000 0.5000 0.0000
Cl2 0.5000 0.0000 0.0000

***

# 3
Starting from a cell relaxed with GGA-PBE, the powder X-ray diffraction pattern of Li4AgCl5 was simulated for Cu Kα (weighted mean of Kα1 and Kα2).
Neutral-atom scattering factors, no anomalous dispersion.

Main lines, by angle (2θ from 10° to 90°):
d 8.141, 2θ 10.87, I = 51; d 6.513, 2θ 13.60, I = 39; d 3.453, 2θ 25.80, I = 100; d 3.434, 2θ 25.95, I = 39; d 3.257, 2θ 27.39, I = 27; d 3.179, 2θ 28.07, I = 37; d 3.051, 2θ 29.28, I = 71; d 2.913, 2θ 30.69, I = 29; d 2.498, 2θ 35.95, I = 33; d 2.369, 2θ 37.98, I = 38; d 1.993, 2θ 45.51, I = 63; d 1.838, 2θ 49.60, I = 37

Structure:
abc: 3.9869 3.9869 32.5657
angles: 90.00 90.00 120.00
Sites, in units of the cell vectors:
Li1 0.0000 0.0000 0.0000
Li2 0.0000 0.0000 0.1910
Li3 0.0000 0.0000 0.3836
Li4 0.0000 0.0000 0.5755
Li5 0.0000 0.0000 0.7885
Li6 0.6667 0.3333 0.0953
Li7 0.6667 0.3333 0.2871
Li8 0.6667 0.3333 0.4795
Ag1 0.6667 0.3333 0.6770
Ag2 0.6667 0.3333 0.8891
Cl1 0.0000 0.0000 0.1179
Cl2 0.0000 0.0000 0.3102
Cl3 0.0000 0.0000 0.5022
Cl4 0.0000 0.0000 0.7146
Cl5 0.0000 0.0000 0.9263
Cl6 0.6667 0.3333 0.0223
Cl7 0.6667 0.3333 0.2138
Cl8 0.6667 0.3333 0.4063
Cl9 0.6667 0.3333 0.5979
Cl10 0.6667 0.3333 0.8102

***

# 4
Starting from a cell relaxed with GGA-PBE, the powder X-ray diffraction pattern of LiMnAg2Cl6 was simulated for Cu Kα (weighted mean of Kα1 and Kα2).
Neutral-atom scattering factors, no anomalous dispersion.

Main lines, by angle (2θ from 10° to 90°):
d 6.054, 2θ 14.63, I = 100; d 5.025, 2θ 17.65, I = 56; d 4.500, 2θ 19.73, I = 62; d 3.507, 2θ 25.40, I = 65; d 3.346, 2θ 26.64, I = 79; d 3.105, 2θ 28.75, I = 77; d 2.904, 2θ 30.79, I = 49; d 2.513, 2θ 35.73, I = 38; d 2.030, 2θ 44.64, I = 35; d 1.941, 2θ 46.81, I = 35; d 1.837, 2θ 49.63, I = 32; d 1.832, 2θ 49.76, I = 42

Structure:
abc: 6.5289 6.6174 6.7721
angles: 67.32 64.08 73.93
Sites, in units of the cell vectors:
Li1 0.0000 0.0000 0.0000
Mn1 0.6418 0.3315 0.5402
Ag1 0.3176 0.3152 0.1753
Ag2 0.9883 0.6394 0.7367
Cl1 0.3593 0.1004 0.9020
Cl2 0.3653 0.5762 0.4125
Cl3 0.6313 0.5603 0.7271
Cl4 0.6744 0.1320 0.3071
Cl5 0.9608 0.1068 0.6128
Cl6 0.9644 0.6151 0.1298

***

# 5
Starting from a cell relaxed with GGA-PBE, the powder X-ray diffraction pattern of LiNiAg2Cl6 was simulated for Cu Kα (weighted mean of Kα1 and Kα2).
Neutral-atom scattering factors, no anomalous dispersion.

Main lines, by angle (2θ from 10° to 90°):
d 5.934, 2θ 14.93, I = 100; d 4.326, 2θ 20.53, I = 53; d 3.983, 2θ 22.32, I = 31; d 3.417, 2θ 26.08, I = 61; d 3.343, 2θ 26.67, I = 33; d 3.296, 2θ 27.05, I = 43; d 3.128, 2θ 28.54, I = 80; d 2.790, 2θ 32.08, I = 48; d 2.733, 2θ 32.76, I = 42; d 1.985, 2θ 45.71, I = 30; d 1.929, 2θ 47.10, I = 31; d 1.860, 2θ 48.97, I = 33

Structure:
abc: 6.4631 6.5009 6.6655
angles: 63.31 67.12 75.96
Sites, in units of the cell vectors:
Li1 0.0000 0.0000 0.0000
Ni1 0.6751 0.3386 0.4686
Ag1 0.3649 0.9953 0.2729
Ag2 0.6886 0.6663 0.8224
Cl1 0.4113 0.0286 0.8581
Cl2 0.4391 0.6119 0.5866
Cl3 0.4511 0.3533 0.2762
Cl4 0.8811 0.3262 0.6849
Cl5 0.9046 0.0398 0.3850
Cl6 0.9062 0.6245 0.1022

***

# 6
Starting from a cell relaxed with GGA-PBE, the powder X-ray diffraction pattern of Li2NpAgCl6 was simulated for Cu Kα (weighted mean of Kα1 and Kα2).
Neutral-atom scattering factors, no anomalous dispersion.

Main lines, by angle (2θ from 10° to 90°):
d 5.546, 2θ 15.98, I = 18; d 4.920, 2θ 18.03, I = 100; d 3.614, 2θ 24.63, I = 52; d 3.357, 2θ 26.55, I = 23; d 2.947, 2θ 30.33, I = 27; d 2.773, 2θ 32.28, I = 32; d 2.460, 2θ 36.53, I = 22; d 2.268, 2θ 39.74, I = 46; d 2.138, 2θ 42.27, I = 24; d 1.984, 2θ 45.73, I = 22; d 1.938, 2θ 46.87, I = 23; d 1.321, 2θ 71.41, I = 13

Structure:
abc: 7.2716 7.2716 7.2716
angles: 54.99 54.99 54.99
Sites, in units of the cell vectors:
Li1 0.0000 0.0000 0.0000
Li2 0.4942 0.4942 0.4942
Np1 0.8014 0.8014 0.8014
Ag1 0.2873 0.2873 0.2873
Cl1 0.1007 0.3783 0.7227
Cl2 0.2234 0.8674 0.6118
Cl3 0.3783 0.7227 0.1007
Cl4 0.6118 0.2234 0.8674
Cl5 0.7227 0.1007 0.3783
Cl6 0.8674 0.6118 0.2234

***

# 7
Starting from a cell relaxed with GGA-PBE, the powder X-ray diffraction pattern of LiAgPdCl6 was simulated for Cu Kα (weighted mean of Kα1 and Kα2).
Neutral-atom scattering factors, no anomalous dispersion.

Main lines, by angle (2θ from 10° to 90°):
d 5.639, 2θ 15.72, I = 24; d 5.337, 2θ 16.61, I = 61; d 4.284, 2θ 20.74, I = 100; d 3.411, 2θ 26.12, I = 24; d 3.194, 2θ 27.93, I = 36; d 2.825, 2θ 31.67, I = 41; d 2.709, 2θ 33.06, I = 14; d 2.634, 2θ 34.03, I = 16; d 2.198, 2θ 41.07, I = 78; d 2.142, 2θ 42.19, I = 30; d 1.779, 2θ 51.36, I = 39; d 1.137, 2θ 85.36, I = 15

Structure:
abc: 6.0581 6.0581 11.2778
angles: 90.00 90.00 90.00
Sites, in units of the cell vectors:
Li1 0.0000 0.0000 0.0000
Li2 0.5000 0.5000 0.5000
Ag1 0.0000 0.0000 0.6736
Ag2 0.5000 0.5000 0.1736
Pd1 0.0000 0.0000 0.3304
Pd2 0.5000 0.5000 0.8304
Cl1 0.1849 0.1849 0.1752
Cl2 0.1889 0.1889 0.4847
Cl3 0.2192 0.2192 0.8312
Cl4 0.2808 0.7192 0.3312
Cl5 0.3111 0.6889 0.9847
Cl6 0.3151 0.6849 0.6752
Cl7 0.6849 0.3151 0.6752
Cl8 0.6889 0.3111 0.9847
Cl9 0.7192 0.2808 0.3312
Cl10 0.7808 0.7808 0.8312
Cl11 0.8111 0.8111 0.4847
Cl12 0.8151 0.8151 0.1752

***

# 8
Starting from a cell relaxed with GGA-PBE, the powder X-ray diffraction pattern of Li2PmAgCl6 was simulated for Cu Kα (weighted mean of Kα1 and Kα2).
Neutral-atom scattering factors, no anomalous dispersion.

Main lines, by angle (2θ from 10° to 90°):
d 4.911, 2θ 18.06, I = 100; d 3.596, 2θ 24.76, I = 51; d 3.362, 2θ 26.52, I = 19; d 2.944, 2θ 30.36, I = 35; d 2.774, 2θ 32.27, I = 35; d 2.456, 2θ 36.59, I = 24; d 2.258, 2θ 39.92, I = 49; d 2.140, 2θ 42.24, I = 24; d 2.128, 2θ 42.48, I = 13; d 1.983, 2θ 45.76, I = 23; d 1.942, 2θ 46.77, I = 11; d 1.940, 2θ 46.82, I = 19

Structure:
abc: 6.7196 6.7232 7.2239
angles: 90.08 117.65 119.95
Sites, in units of the cell vectors:
Li1 0.0000 0.0000 0.0000
Li2 0.0147 0.5076 0.5217
Pm1 0.6131 0.3071 0.9196
Ag1 0.5815 0.7915 0.3729
Cl1 0.1019 0.3736 0.2202
Cl2 0.1153 0.2299 0.7227
Cl3 0.4911 0.1185 0.2201
Cl4 0.4934 0.8864 0.7219
Cl5 0.8370 0.6082 0.7228
Cl6 0.8465 0.7296 0.2202

***

# 9
Starting from a cell relaxed with GGA-PBE, the powder X-ray diffraction pattern of LiPrAg2Cl6 was simulated for Cu Kα (weighted mean of Kα1 and Kα2).
Neutral-atom scattering factors, no anomalous dispersion.

Main lines, by angle (2θ from 10° to 90°):
d 6.249, 2θ 14.17, I = 19; d 5.667, 2θ 15.64, I = 55; d 5.020, 2θ 17.67, I = 51; d 3.681, 2θ 24.18, I = 98; d 3.432, 2θ 25.96, I = 69; d 3.008, 2θ 29.70, I = 72; d 2.510, 2θ 35.77, I = 50; d 2.311, 2θ 38.98, I = 100; d 2.026, 2θ 44.73, I = 45; d 1.982, 2θ 45.79, I = 64; d 1.788, 2θ 51.08, I = 22; d 1.504, 2θ 61.65, I = 19

Structure:
abc: 6.8617 6.8632 7.3964
angles: 62.39 62.43 60.06
Sites, in units of the cell vectors:
Li1 0.0000 0.0000 0.0000
Pr1 0.5000 0.4994 0.5012
Ag1 0.3002 0.3012 0.0974
Ag2 0.7961 0.7946 0.6143
Cl1 0.1013 0.3816 0.7816
Cl2 0.2180 0.8998 0.2688
Cl3 0.3834 0.7353 0.7815
Cl4 0.6137 0.2194 0.2672
Cl5 0.7371 0.1002 0.7804
Cl6 0.8993 0.6148 0.2677

***

# 10
Starting from a cell relaxed with GGA-PBE, the powder X-ray diffraction pattern of LiAg2PtCl6 was simulated for Cu Kα (weighted mean of Kα1 and Kα2).
Neutral-atom scattering factors, no anomalous dispersion.

Main lines, by angle (2θ from 10° to 90°):
d 5.978, 2θ 14.82, I = 100; d 5.750, 2θ 15.41, I = 27; d 5.019, 2θ 17.67, I = 41; d 4.018, 2θ 22.12, I = 32; d 3.607, 2θ 24.68, I = 27; d 3.479, 2θ 25.60, I = 49; d 3.366, 2θ 26.48, I = 37; d 3.187, 2θ 28.00, I = 42; d 2.839, 2θ 31.52, I = 31; d 2.774, 2θ 32.27, I = 36; d 2.023, 2θ 44.80, I = 23; d 1.828, 2θ 49.90, I = 24

Structure:
abc: 6.5203 6.6359 6.8100
angles: 63.04 67.02 75.45
Sites, in units of the cell vectors:
Li1 0.0000 0.0000 0.0000
Ag1 0.3910 0.9979 0.2546
Ag2 0.7057 0.6698 0.8124
Pt1 0.6702 0.3349 0.4727
Cl1 0.4039 0.0232 0.8640
Cl2 0.4315 0.6193 0.5862
Cl3 0.4488 0.3618 0.2596
Cl4 0.8896 0.3215 0.6846
Cl5 0.9045 0.0311 0.3823
Cl6 0.9153 0.6360 0.0882

***

# 11
Starting from a cell relaxed with GGA-PBE, the powder X-ray diffraction pattern of RbLi2AgCl4 was simulated for Cu Kα (weighted mean of Kα1 and Kα2).
Neutral-atom scattering factors, no anomalous dispersion.

Main lines, by angle (2θ from 10° to 90°):
d 5.539, 2θ 16.00, I = 18; d 5.494, 2θ 16.13, I = 10; d 4.474, 2θ 19.84, I = 61; d 3.481, 2θ 25.59, I = 100; d 2.747, 2θ 32.60, I = 61; d 2.355, 2θ 38.22, I = 27; d 2.237, 2θ 40.31, I = 26; d 2.084, 2θ 43.43, I = 32; d 2.001, 2θ 45.32, I = 10; d 1.882, 2θ 48.36, I = 32; d 1.707, 2θ 53.71, I = 10; d 1.622, 2θ 56.76, I = 16

Structure:
abc: 7.1201 7.1201 7.1201
angles: 127.24 127.24 77.87
Sites, in units of the cell vectors:
Rb1 0.0000 0.0000 0.0000
Li1 0.2500 0.7500 0.5000
Li2 0.7500 0.2500 0.5000
Ag1 0.5000 0.5000 0.0000
Cl1 0.1254 0.5501 0.0000
Cl2 0.4499 0.4499 0.5754
Cl3 0.5501 0.1254 0.0000
Cl4 0.8746 0.8746 0.4246

***

# 12
Starting from a cell relaxed with GGA-PBE, the powder X-ray diffraction pattern of RbLiAg2Cl4 was simulated for Cu Kα (weighted mean of Kα1 and Kα2).
Neutral-atom scattering factors, no anomalous dispersion.

Main lines, by angle (2θ from 10° to 90°):
d 5.329, 2θ 16.64, I = 69; d 5.065, 2θ 17.51, I = 32; d 3.768, 2θ 23.61, I = 28; d 3.256, 2θ 27.39, I = 100; d 3.077, 2θ 29.02, I = 66; d 2.652, 2θ 33.80, I = 62; d 2.532, 2θ 35.45, I = 64; d 2.096, 2θ 43.16, I = 30; d 2.062, 2θ 43.91, I = 26; d 1.941, 2θ 46.79, I = 24; d 1.776, 2θ 51.44, I = 20; d 1.647, 2θ 55.81, I = 36

Structure:
abc: 6.6303 6.6303 6.6303
angles: 117.90 110.73 100.26
Sites, in units of the cell vectors:
Rb1 0.0000 0.0000 0.0000
Li1 0.5000 0.5000 0.0000
Ag1 0.3243 0.8243 0.5000
Ag2 0.6757 0.1757 0.5000
Cl1 0.1565 0.1320 0.6116
Cl2 0.4796 0.8680 0.0245
Cl3 0.5204 0.5449 0.3883
Cl4 0.8435 0.4551 0.9755